No. 1
This entry pairs a crystal structure of LaNd4Dy6 with its computed PXRD pattern. Radiation: Cu Kα X-rays. Structure: a DFT-relaxed cell (PBE, Alexandria).

a b c (Å): 5.661 5.661 26.070
angles (deg): 90.00 90.00 117.71
Positions (direct):
1 La 0.196 0.804 0.750
2 La 0.804 0.196 0.250
3 Nd 0.154 0.846 0.044
4 Nd 0.154 0.846 0.456
5 Nd 0.462 0.538 0.123
6 Nd 0.462 0.538 0.377
7 Nd 0.538 0.462 0.623
8 Nd 0.538 0.462 0.877
9 Nd 0.846 0.154 0.544
10 Nd 0.846 0.154 0.956
11 Dy 0.134 0.866 0.182
12 Dy 0.134 0.866 0.318
13 Dy 0.194 0.806 0.601
14 Dy 0.194 0.806 0.899
15 Dy 0.467 0.533 0.250
16 Dy 0.500 0.500 0.000
17 Dy 0.500 0.500 0.500
18 Dy 0.533 0.467 0.750
19 Dy 0.806 0.194 0.101
20 Dy 0.806 0.194 0.399
21 Dy 0.866 0.134 0.682
22 Dy 0.866 0.134 0.818

The 10 most intense peaks (2θ = 5–70°), low angle first:
Position (°2θ), I/Imax
29.89, 695
30.27, 558
30.53, 733
31.64, 1000
31.83, 308
32.78, 569
43.53, 415
54.97, 241
55.72, 308
56.85, 155

***

No. 2
This entry pairs a crystal structure of TaNb14Sb with its computed PXRD pattern. Radiation: Cu Kα X-rays. Structure: a DFT-relaxed cell (PBE, Alexandria).

a b c (Å): 6.656 6.656 6.661
angles (deg): 90.00 90.00 90.00
Positions (direct):
1 Ta 0.000 0.000 0.000
2 Nb 0.000 0.000 0.500
3 Nb 0.000 0.500 0.000
4 Nb 0.000 0.500 0.500
5 Nb 0.246 0.246 0.255
6 Nb 0.246 0.246 0.745
7 Nb 0.246 0.754 0.255
8 Nb 0.246 0.754 0.745
9 Nb 0.500 0.000 0.000
10 Nb 0.500 0.000 0.500
11 Nb 0.500 0.500 0.500
12 Nb 0.754 0.246 0.255
13 Nb 0.754 0.246 0.745
14 Nb 0.754 0.754 0.255
15 Nb 0.754 0.754 0.745
16 Sb 0.500 0.500 0.000

The 10 most intense peaks (2θ = 5–70°), low angle first:
Position (°2θ), I/Imax
13.30, 14
18.85, 13
23.14, 10
30.01, 9
32.95, 7
38.24, 1000
40.65, 6
45.17, 6
55.18, 168
69.12, 335

***

No. 3
This entry pairs a crystal structure of ScCu2F8 with its computed PXRD pattern. Radiation: Cu Kα X-rays. Structure: a DFT-relaxed cell (PBE, Alexandria).

a b c (Å): 5.691 5.691 4.424
angles (deg): 92.21 92.21 72.73
Positions (direct):
1 Sc 0.000 0.000 0.000
2 Cu 0.381 0.381 0.747
3 Cu 0.619 0.619 0.253
4 F 0.110 0.672 0.761
5 F 0.175 0.175 0.738
6 F 0.328 0.890 0.239
7 F 0.409 0.409 0.249
8 F 0.591 0.591 0.751
9 F 0.672 0.110 0.761
10 F 0.825 0.825 0.262
11 F 0.890 0.328 0.239

The 10 most intense peaks (2θ = 5–70°), low angle first:
Position (°2θ), I/Imax
16.32, 267
26.38, 1000
27.37, 446
32.19, 124
39.37, 191
40.84, 236
43.79, 160
46.58, 160
51.73, 167
54.37, 146

***

No. 4
This entry pairs a crystal structure of Ba2PmTlS5 with its computed PXRD pattern. Radiation: Cu Kα X-rays. Structure: a DFT-relaxed cell (PBE, Alexandria).

a b c (Å): 9.480 9.480 13.046
angles (deg): 90.00 90.00 154.29
Positions (direct):
1 Ba 0.117 0.883 0.500
2 Ba 0.134 0.866 0.128
3 Ba 0.866 0.134 0.628
4 Ba 0.883 0.117 0.000
5 Pm 0.212 0.788 0.832
6 Pm 0.788 0.212 0.332
7 Tl 0.456 0.544 0.262
8 Tl 0.544 0.456 0.762
9 S 0.051 0.949 0.876
10 S 0.290 0.710 0.474
11 S 0.316 0.684 0.186
12 S 0.358 0.642 0.818
13 S 0.494 0.506 0.585
14 S 0.506 0.494 0.085
15 S 0.642 0.358 0.318
16 S 0.684 0.316 0.686
17 S 0.710 0.290 0.974
18 S 0.949 0.051 0.376

The 10 most intense peaks (2θ = 5–70°), low angle first:
Position (°2θ), I/Imax
22.60, 525
23.59, 334
25.60, 1000
26.50, 465
29.80, 704
29.90, 767
35.10, 420
38.43, 292
42.72, 341
42.88, 286

***

No. 5
This entry pairs a crystal structure of NaDyI2O8 with its computed PXRD pattern. Radiation: Cu Kα X-rays. Structure: a DFT-relaxed cell (PBE, Alexandria).

a b c (Å): 7.012 7.012 7.012
angles (deg): 135.37 135.37 64.96
Positions (direct):
1 Na 0.000 0.000 0.000
2 Dy 0.750 0.250 0.500
3 I 0.250 0.750 0.500
4 I 0.500 0.500 0.000
5 O 0.062 0.642 0.047
6 O 0.175 0.255 0.592
7 O 0.358 0.405 0.420
8 O 0.417 0.825 0.079
9 O 0.595 0.015 0.953
10 O 0.662 0.583 0.408
11 O 0.745 0.338 0.921
12 O 0.985 0.938 0.580

The 10 most intense peaks (2θ = 5–70°), low angle first:
Position (°2θ), I/Imax
14.98, 101
18.27, 185
28.10, 1000
30.22, 145
33.66, 165
45.86, 288
48.34, 139
52.38, 163
56.85, 262
58.08, 105

***

No. 6
This entry pairs a crystal structure of AcCe2Tl7 with its computed PXRD pattern. Radiation: Cu Kα X-rays. Structure: a DFT-relaxed cell (PBE, Alexandria).

a b c (Å): 12.026 12.026 12.026
angles (deg): 154.08 154.08 36.99
Positions (direct):
1 Ac 0.000 0.000 0.000
2 Ce 0.329 0.329 0.000
3 Ce 0.671 0.671 0.000
4 Tl 0.095 0.595 0.500
5 Tl 0.250 0.750 0.500
6 Tl 0.405 0.905 0.500
7 Tl 0.500 0.500 0.000
8 Tl 0.595 0.095 0.500
9 Tl 0.750 0.250 0.500
10 Tl 0.905 0.405 0.500

The 10 most intense peaks (2θ = 5–70°), low angle first:
Position (°2θ), I/Imax
20.18, 61
23.34, 80
24.61, 58
28.14, 73
33.25, 1000
47.68, 131
47.85, 45
59.38, 251
59.49, 95
69.86, 59

***

No. 7
This entry pairs a crystal structure of TiMnHg3 with its computed PXRD pattern. Radiation: Cu Kα X-rays. Structure: a DFT-relaxed cell (PBE, Alexandria).

a b c (Å): 5.049 5.049 5.049
angles (deg): 90.00 90.00 90.00
Positions (direct):
1 Ti 0.000 0.000 0.000
2 Mn 0.500 0.500 0.500
3 Hg 0.000 0.500 0.500
4 Hg 0.500 0.000 0.500
5 Hg 0.500 0.500 0.000

The 10 most intense peaks (2θ = 5–70°), low angle first:
Position (°2θ), I/Imax
17.56, 349
24.94, 62
30.67, 1000
35.56, 723
39.92, 186
51.17, 514
54.52, 95
60.85, 442
63.86, 176
66.80, 42

***

No. 8
This entry pairs a crystal structure of Dy5YEr with its computed PXRD pattern. Radiation: Cu Kα X-rays. Structure: a DFT-relaxed cell (PBE, Alexandria).

a b c (Å): 6.179 6.179 6.854
angles (deg): 99.62 99.62 112.56
Positions (direct):
1 Dy 0.000 0.000 0.000
2 Dy 0.093 0.527 0.266
3 Dy 0.473 0.907 0.734
4 Dy 0.527 0.093 0.266
5 Dy 0.907 0.473 0.734
6 Y 0.000 0.000 0.500
7 Er 0.500 0.500 0.000

The 10 most intense peaks (2θ = 5–70°), low angle first:
Position (°2θ), I/Imax
22.00, 105
30.70, 110
31.84, 168
32.44, 1000
34.15, 104
34.92, 138
48.35, 95
57.81, 113
65.46, 69
67.96, 59

***

No. 9
This entry pairs a crystal structure of NdSm14In with its computed PXRD pattern. Radiation: Cu Kα X-rays. Structure: a DFT-relaxed cell (PBE, Alexandria).

a b c (Å): 10.182 7.190 7.190
angles (deg): 89.99 90.00 90.00
Positions (direct):
1 Nd 0.000 0.000 0.000
2 Sm 0.000 0.500 0.999
3 Sm 0.000 0.999 0.500
4 Sm 0.246 0.252 0.252
5 Sm 0.247 0.252 0.748
6 Sm 0.247 0.748 0.252
7 Sm 0.247 0.748 0.748
8 Sm 0.500 0.000 0.000
9 Sm 0.500 0.000 0.500
10 Sm 0.500 0.500 0.000
11 Sm 0.500 0.500 0.500
12 Sm 0.753 0.252 0.748
13 Sm 0.753 0.748 0.252
14 Sm 0.753 0.748 0.748
15 Sm 0.754 0.252 0.252
16 In 0.000 0.500 0.500

The 5 most intense peaks (2θ = 5–70°), low angle first:
Position (°2θ), I/Imax
30.44, 1000
35.29, 506
50.77, 360
60.35, 426
63.34, 123

***

No. 10
This entry pairs a crystal structure of HoFe4As12 with its computed PXRD pattern. Radiation: Cu Kα X-rays. Structure: a DFT-relaxed cell (PBE, Alexandria).

a b c (Å): 7.216 7.216 7.216
angles (deg): 109.47 109.47 109.47
Positions (direct):
1 Ho 0.000 0.000 0.000
2 Fe 0.000 0.000 0.500
3 Fe 0.000 0.500 0.000
4 Fe 0.500 0.000 0.000
5 Fe 0.500 0.500 0.500
6 As 0.155 0.496 0.341
7 As 0.155 0.814 0.659
8 As 0.186 0.341 0.845
9 As 0.341 0.155 0.496
10 As 0.341 0.845 0.186
11 As 0.496 0.341 0.155
12 As 0.504 0.659 0.845
13 As 0.659 0.155 0.814
14 As 0.659 0.845 0.504
15 As 0.814 0.659 0.155
16 As 0.845 0.186 0.341
17 As 0.845 0.504 0.659

The 10 most intense peaks (2θ = 5–70°), low angle first:
Position (°2θ), I/Imax
15.04, 58
30.34, 85
34.02, 1000
40.51, 539
48.88, 108
53.90, 292
56.30, 316
65.29, 98
67.44, 95
69.54, 58

***

No. 11
This entry pairs a crystal structure of ZrV4Se8 with its computed PXRD pattern. Radiation: Cu Kα X-rays. Structure: a DFT-relaxed cell (PBE, Alexandria).

a b c (Å): 7.408 7.408 7.408
angles (deg): 59.25 59.25 59.25
Positions (direct):
1 Zr 0.000 0.000 0.000
2 V 0.000 0.000 0.500
3 V 0.000 0.500 0.000
4 V 0.500 0.000 0.000
5 V 0.500 0.500 0.500
6 Se 0.244 0.244 0.244
7 Se 0.255 0.743 0.743
8 Se 0.257 0.257 0.745
9 Se 0.257 0.745 0.257
10 Se 0.743 0.255 0.743
11 Se 0.743 0.743 0.255
12 Se 0.745 0.257 0.257
13 Se 0.756 0.756 0.756

The 10 most intense peaks (2θ = 5–70°), low angle first:
Position (°2θ), I/Imax
14.56, 83
14.79, 62
17.03, 61
29.37, 66
29.83, 197
34.44, 1000
49.20, 344
49.80, 339
60.92, 57
61.96, 170

***

Question: What is the formula in the third record?
Answer: ScCu2F8